# Bi4Pt
Computed powder XRD pattern, λ = 1.5418 Å (Cu Kα). Input: a DFT-relaxed cell (GGA-PBE, Alexandria).

Crystal structure
a = 8.230 Å, b = 8.230 Å, c = 8.230 Å
α = 132.75°, β = 132.75°, γ = 69.05°
Positions (direct):
Bi  0.032  0.717  0.815
Bi  0.217  0.902  0.686
Bi  0.283  0.468  0.186
Bi  0.402  0.217  0.685
Bi  0.598  0.783  0.315
Bi  0.717  0.532  0.814
Bi  0.783  0.098  0.314
Bi  0.968  0.283  0.185
Pt  0.375  0.125  0.250
Pt  0.625  0.875  0.750

Most intense lines, 2θ from 10° to 90°, in order of rising 2θ:
| d (Å) | I_rel |
| --- | --- |
| 3.843 | 28 |
| 3.298 | 66 |
| 2.883 | 84 |
| 2.743 | 100 |
| 2.471 | 54 |
| 2.364 | 94 |
| 2.332 | 59 |
| 1.777 | 27 |
| 1.593 | 37 |
| 1.517 | 29 |